1.
Diffraction record for Tl2Cd3Sn5. The powder diffractogram is simulated, not measured: it uses a cell relaxed with GGA-PBE and Cu Kα (weighted mean of Kα1 and Kα2).
Kinematic intensities with the Lorentz-polarization factor, no thermal factor.

The 12 most intense peaks (10° ≤ 2θ ≤ 80°), sorted by position:
2theta  I_rel  index
27.86  91.0  3 2 1
29.42  96.4  2 0 2
29.93  92.1  2 4 0
37.33  100.0  0 4 2
39.72  66.1  5 2 1
46.86  22.4  3 2 3
47.56  21.3  3 6 1
55.33  25.3  5 2 3
55.96  24.3  5 6 1
62.23  26.1  2 4 4
63.10  22.5  2 8 2
70.41  25.3  8 4 2

Atomic structure:
Lattice parameters (Å, degrees): 12.861 13.480 6.889 90.00 90.00 90.00
Space group Ibam (No. 72)
Unique sites:
Tl: 0.245 0.124 0.000 [8 per cell]
Cd: 0.000 0.500 0.250 [4 per cell]
Cd: 0.140 0.127 0.500 [8 per cell]
Sn: 0.000 0.000 0.250 [4 per cell]
Sn: 0.000 0.252 0.250 [8 per cell]
Sn: 0.141 0.379 0.000 [8 per cell]

---

2.
Diffraction record for Tl3Cd4Sn2. The powder diffractogram is simulated, not measured: it uses a cell relaxed with GGA-PBE and Cu Kα (weighted mean of Kα1 and Kα2).
Kinematic intensities with the Lorentz-polarization factor, no thermal factor.

The 12 most intense peaks (10° ≤ 2θ ≤ 80°), sorted by position:
2theta  I_rel  index
31.84  100.0  1 1 1
32.04  98.3  -1 1 2
33.20  92.1  1 -2 1
33.40  90.7  1 2 -2
35.01  78.7  0 1 -3
38.30  59.4  0 3 0
40.09  61.4  2 0 -1
51.00  24.4  0 2 3
53.99  22.8  2 -1 2
54.52  23.3  2 1 -4
54.68  23.0  0 4 -3
56.64  38.0  2 3 -1

Atomic structure:
Lattice parameters (Å, degrees): 4.499 7.358 8.007 105.97 105.80 90.17
Space group P-1 (No. 2)
Unique sites:
Tl: 0.000 0.000 0.000 [1 per cell]
Tl: 0.443 0.654 0.883 [2 per cell]
Cd: 0.122 0.692 0.244 [2 per cell]
Cd: 0.327 0.996 0.656 [2 per cell]
Sn: 0.226 0.337 0.453 [2 per cell]

---

3.
Diffraction record for Tl3Cd9Sn2. The powder diffractogram is simulated, not measured: it uses a cell relaxed with GGA-PBE and Cu Kα (weighted mean of Kα1 and Kα2).
Kinematic intensities with the Lorentz-polarization factor, no thermal factor.

The 12 most intense peaks (10° ≤ 2θ ≤ 80°), sorted by position:
2theta  I_rel  index
29.79  32.5  1 3 0
30.43  14.3  0 3 3
30.66  27.9  0 2 4
31.47  100.0  1 2 3
32.68  33.4  1 3 2
33.54  51.9  1 1 4
36.88  36.1  1 4 1
38.07  43.5  2 0 0
43.79  12.1  0 5 3
49.65  14.5  2 2 4
60.91  27.7  1 4 7
64.70  12.4  3 2 3

Atomic structure:
Lattice parameters (Å, degrees): 4.728 11.641 13.485 90.00 90.00 90.00
Space group Immm (No. 71)
Unique sites:
Tl: 0.000 0.000 0.000 [2 per cell]
Tl: 0.000 0.000 0.284 [4 per cell]
Cd: 0.000 0.283 0.158 [8 per cell]
Cd: 0.000 0.376 0.365 [8 per cell]
Cd: 0.000 0.500 0.000 [2 per cell]
Sn: 0.000 0.168 0.500 [4 per cell]

---

4.
Diffraction record for Tl8Cd2Sn. The powder diffractogram is simulated, not measured: it uses a cell relaxed with GGA-PBE and Cu Kα (weighted mean of Kα1 and Kα2).
Kinematic intensities with the Lorentz-polarization factor, no thermal factor.

The 12 most intense peaks (10° ≤ 2θ ≤ 80°), sorted by position:
2theta  I_rel  index
24.60  7.5  1 0 3
31.30  25.2  1 1 4
32.67  100.0  1 2 3
33.72  27.6  2 0 0
36.37  13.6  0 0 6
43.13  5.8  0 4 0
47.60  10.5  2 3 1
50.43  10.7  2 0 6
54.34  9.9  0 3 7
59.65  15.5  3 2 3
63.32  12.8  1 5 4
65.50  10.8  2 3 7

Atomic structure:
Lattice parameters (Å, degrees): 5.316 8.389 14.823 90.00 90.00 90.00
Space group Immm (No. 71)
Unique sites:
Tl: 0.000 0.000 0.146 [4 per cell]
Tl: 0.000 0.211 0.351 [8 per cell]
Tl: 0.000 0.306 0.000 [4 per cell]
Cd: 0.000 0.500 0.202 [4 per cell]
Sn: 0.000 0.500 0.500 [2 per cell]

---

5.
Diffraction record for TlCd4Sn4. The powder diffractogram is simulated, not measured: it uses a cell relaxed with GGA-PBE and Cu Kα (weighted mean of Kα1 and Kα2).
Kinematic intensities with the Lorentz-polarization factor, no thermal factor.

The 12 most intense peaks (10° ≤ 2θ ≤ 80°), sorted by position:
2theta  I_rel  index
26.39  1.9  2 2 0
27.05  2.9  2 1 1
33.02  100.0  3 0 1
34.62  22.3  0 0 2
40.04  29.3  3 3 0
53.95  24.6  3 3 2
54.69  2.1  5 2 1
57.92  9.7  6 0 0
61.03  17.9  3 0 3
68.31  23.5  6 3 1
69.26  11.4  6 0 2
73.03  2.6  0 0 4

Atomic structure:
Lattice parameters (Å, degrees): 9.553 9.553 5.182 90.00 90.00 90.00
Space group I4/mmm (No. 139)
Unique sites:
Tl: 0.000 0.000 0.000 [2 per cell]
Cd: 0.000 0.343 0.000 [8 per cell]
Sn: 0.172 0.172 0.500 [8 per cell]

---

6.
Diffraction record for TlCd5Sn. The powder diffractogram is simulated, not measured: it uses a cell relaxed with GGA-PBE and Cu Kα (weighted mean of Kα1 and Kα2).
Kinematic intensities with the Lorentz-polarization factor, no thermal factor.

The 12 most intense peaks (10° ≤ 2θ ≤ 80°), sorted by position:
2theta  I_rel  index
17.34  23.1  1 1 0
22.11  29.0  1 1 1
33.37  100.0  0 2 2
35.10  87.7  2 2 0
37.84  35.7  0 4 0
40.67  57.9  2 0 2
56.76  42.7  2 4 2
65.51  13.7  0 6 2
66.57  13.1  2 6 0
68.34  23.9  2 2 4
70.09  11.1  0 4 4
71.45  21.3  4 2 2

Atomic structure:
Lattice parameters (Å, degrees): 6.065 9.510 6.507 90.00 90.00 90.00
Space group Cmmm (No. 65)
Unique sites:
Tl: 0.000 0.000 0.000 [2 per cell]
Cd: 0.000 0.000 0.500 [2 per cell]
Cd: 0.250 0.250 0.242 [8 per cell]
Sn: 0.000 0.500 0.500 [2 per cell]

---

7.
Diffraction record for Tl2Cd2Sn. The powder diffractogram is simulated, not measured: it uses a cell relaxed with GGA-PBE and Cu Kα (weighted mean of Kα1 and Kα2).
Kinematic intensities with the Lorentz-polarization factor, no thermal factor.

The 12 most intense peaks (10° ≤ 2θ ≤ 80°), sorted by position:
2theta  I_rel  index
22.70  37.6  1 0 1
26.52  38.8  1 0 3
28.94  24.0  0 0 6
31.57  17.2  1 1 0
32.93  100.0  1 0 5
33.06  82.5  1 1 2
37.20  49.6  1 1 4
45.25  43.3  2 0 0
57.09  42.9  2 1 5
59.65  40.8  1 1 10
75.72  24.5  3 0 5
78.20  17.8  2 0 12

Atomic structure:
Lattice parameters (Å, degrees): 4.008 4.008 18.512 90.00 90.00 90.00
Space group I4/mmm (No. 139)
Unique sites:
Tl: 0.000 0.000 0.100 [4 per cell]
Cd: 0.000 0.500 0.250 [4 per cell]
Sn: 0.000 0.000 0.500 [2 per cell]

---

8.
Diffraction record for Tl2Cd2Sn3. The powder diffractogram is simulated, not measured: it uses a cell relaxed with GGA-PBE and Cu Kα (weighted mean of Kα1 and Kα2).
Kinematic intensities with the Lorentz-polarization factor, no thermal factor.

The 12 most intense peaks (10° ≤ 2θ ≤ 80°), sorted by position:
2theta  I_rel  index
28.99  64.5  3 1 -1
30.57  100.0  1 1 -2
30.73  26.6  4 0 0
30.85  89.2  3 1 0
32.45  30.8  3 1 -2
35.14  39.5  2 0 2
36.10  29.3  1 1 2
36.22  41.7  4 0 -3
40.84  24.1  1 1 -3
41.42  44.7  0 2 0
55.42  21.5  2 2 2
56.18  23.7  4 2 -3

Atomic structure:
Lattice parameters (Å, degrees): 13.116 4.360 8.007 90.00 117.45 90.00
Space group C2/m (No. 12)
Unique sites:
Tl: 0.137 0.000 0.303 [4 per cell]
Cd: 0.089 0.500 0.943 [4 per cell]
Sn: 0.000 0.500 0.500 [2 per cell]
Sn: 0.167 0.000 0.753 [4 per cell]